For LiSi6O12, a GGA-PBE-relaxed structure gives the theoretical XRD peak list in this record (Cu Kα, 1.54184 Å).
Kinematic intensities with the Lorentz-polarization factor, no thermal factor.

The 12 most intense peaks (5 to 70 degrees two-theta), by angle:
- hkl 1 0 0, 18.45 deg, rel. 67
- hkl 1 1 1, 19.00 deg, rel. 33
- hkl 0 1 -1, 19.73 deg, rel. 28
- hkl 1 0 -1, 25.01 deg, rel. 80
- hkl 0 0 2, 25.37 deg, rel. 69
- hkl 0 2 0, 25.72 deg, rel. 100
- hkl 1 2 1, 25.98 deg, rel. 50
- hkl 1 -2 0, 35.57 deg, rel. 13
- hkl 2 0 1, 36.29 deg, rel. 12
- hkl 1 0 -3, 47.35 deg, rel. 10
- hkl 2 3 3, 48.78 deg, rel. 11
- hkl 1 4 1, 48.93 deg, rel. 9

Crystal structure
Cell: 5.251 7.461 7.577 Å, 73.46 71.11 71.32°
Positions (direct):
Li 0.000 0.000 0.000
Si 0.069 0.419 0.998
Si 0.413 0.597 0.158
Si 0.415 0.968 0.542
Si 0.432 0.532 0.581
Si 0.435 0.012 0.119
Si 0.775 0.137 0.692
O 0.106 0.040 0.685
O 0.135 0.183 0.068
O 0.183 0.478 0.766
O 0.212 0.512 0.098
O 0.318 0.834 0.088
O 0.348 0.544 0.389
O 0.392 0.075 0.327
O 0.491 0.734 0.580
O 0.648 0.021 0.603
O 0.649 0.119 0.922
O 0.722 0.363 0.587
O 0.734 0.507 0.054